Structure and computed X-ray powder pattern of HoGaHgPd (a crystal structure in Alexandria, relaxed with PBE; Cu Kα (λ = 1.5418 Å)).
No peak broadening, texture or thermal motion is included.

Top 11 peaks for 2θ from 10° to 80°, in order of rising 2θ:
d (Å)  two_theta  I_rel  h k l
3.947  22.52  13  1 1 1
3.419  26.07  2  2 0 0
2.417  37.20  100  2 2 0
2.061  43.92  7  3 1 1
1.974  45.98  1  2 2 2
1.709  53.62  17  4 0 0
1.569  58.88  3  3 3 1
1.529  60.56  1  4 2 0
1.396  67.06  36  4 2 2
1.316  71.73  2  5 1 1
1.209  79.26  11  4 4 0

a b c (Å): 6.8371 6.8371 6.8371
angles (deg): 90.00 90.00 90.00
Space group F-43m (No. 216)
Unique sites:
Ho  0.0000  0.0000  0.0000 [4 per cell]
Ga  0.0000  0.0000  0.5000 [4 per cell]
Hg  0.2500  0.2500  0.7500 [4 per cell]
Pd  0.2500  0.2500  0.2500 [4 per cell]

=====

Structure and computed X-ray powder pattern of NaSiAs (a crystal structure in Alexandria, relaxed with PBE; Cu Kα (λ = 1.5418 Å)).
No peak broadening, texture or thermal motion is included.

Top 12 peaks for 2θ from 10° to 80°, in order of rising 2θ:
d (Å)  two_theta  I_rel  h k l
7.631  11.60  29  0 2 0
3.988  22.29  22  1 1 0
3.816  23.31  20  0 4 0
3.546  25.11  52  0 2 1
2.826  31.66  100  1 1 1
2.503  35.87  46  1 3 1
2.455  36.60  62  1 5 0
2.147  42.08  28  0 6 1
2.093  43.23  18  1 5 1
1.816  50.23  18  2 4 0
1.773  51.54  23  0 4 2
1.489  62.38  18  2 6 1

a b c (Å): 4.1311 15.2620 4.0049
angles (deg): 90.00 90.00 90.00
Space group C222_1 (No. 20)
Unique sites:
Na  0.0000  0.1837  0.2500 [4 per cell]
Si  0.1655  0.0000  0.5000 [4 per cell]
As  0.0000  0.3858  0.2500 [4 per cell]

=====

Structure and computed X-ray powder pattern of SiTcRuC (a crystal structure in Alexandria, relaxed with PBE; Cu Kα (λ = 1.5418 Å)).
No peak broadening, texture or thermal motion is included.

Top 12 peaks for 2θ from 10° to 80°, in order of rising 2θ:
d (Å)  two_theta  I_rel  h k l
2.855  31.34  61  0 0 1
2.819  31.74  47  1 1 0
2.793  32.04  60  4 0 0
2.601  34.48  19  2 0 -1
2.295  39.26  100  3 1 0
2.054  44.08  34  4 0 -1
2.020  44.87  21  1 1 -1
1.992  45.54  66  1 1 1
1.943  46.74  44  4 0 1
1.819  50.15  44  3 1 -1
1.400  66.81  24  7 1 0
1.282  73.94  19  7 1 -1

a b c (Å): 11.1911 2.9130 2.8590
angles (deg): 90.00 93.18 90.00
Space group Cm (No. 8)
Unique sites:
Si  0.0000  0.0000  0.0000 [2 per cell]
Tc  0.1605  0.5000  0.3903 [2 per cell]
Ru  0.3829  0.0000  0.4774 [2 per cell]
C  0.2342  0.0000  0.9308 [2 per cell]

=====

Structure and computed X-ray powder pattern of Sr4Tl2O (a crystal structure in Alexandria, relaxed with PBE; Cu Kα (λ = 1.5418 Å)).
No peak broadening, texture or thermal motion is included.

Top 12 peaks for 2θ from 10° to 80°, in order of rising 2θ:
d (Å)  two_theta  I_rel  h k l
4.471  19.86  35  1 1 2
3.714  23.96  35  0 2 0
3.352  26.59  47  0 0 4
3.290  27.11  50  3 0 1
3.095  28.85  57  1 2 2
3.005  29.73  22  2 2 0
2.927  30.54  100  2 2 1
2.703  33.15  44  3 0 3
1.999  45.36  22  2 2 5
1.882  48.36  21  1 2 6
1.856  49.07  24  0 4 0
1.725  53.08  22  5 2 2

a b c (Å): 10.1801 7.4285 13.4082
angles (deg): 90.00 90.00 90.00
Space group Pnma (No. 62)
Unique sites:
Sr  0.0030  0.2500  0.0949 [4 per cell]
Sr  0.1638  0.5040  0.6424 [8 per cell]
Sr  0.2126  0.7500  0.3967 [4 per cell]
Tl  0.0398  0.7500  0.1783 [4 per cell]
Tl  0.1476  0.2500  0.3652 [4 per cell]
O  0.2321  0.2500  0.0667 [4 per cell]

=====

Structure and computed X-ray powder pattern of Gd2Al9Ir3 (a crystal structure in Alexandria, relaxed with PBE; Cu Kα (λ = 1.5418 Å)).
No peak broadening, texture or thermal motion is included.

Top 12 peaks for 2θ from 10° to 80°, in order of rising 2θ:
d (Å)  two_theta  I_rel  h k l
3.783  23.52  32  3 1 0
3.515  25.34  20  3 1 1
2.975  30.04  50  0 2 2
2.961  30.19  100  3 1 2
2.430  36.99  25  3 1 3
2.378  37.83  31  0 0 4
2.196  41.11  58  3 3 0
2.179  41.45  28  6 0 0
2.013  45.03  18  3 1 4
1.758  52.03  27  6 2 2
1.613  57.10  31  3 3 4
1.463  63.61  26  0 2 6

a b c (Å): 13.0713 7.6256 9.5121
angles (deg): 90.00 90.00 90.00
Space group Cmcm (No. 63)
Unique sites:
Gd  0.1621  0.1665  0.2500 [8 per cell]
Al  0.0000  0.1296  0.7500 [4 per cell]
Al  0.0000  0.3335  0.0499 [8 per cell]
Al  0.1043  0.4441  0.7500 [8 per cell]
Al  0.1670  0.1684  0.5744 [16 per cell]
Ir  0.0000  0.0000  0.0000 [4 per cell]
Ir  0.1716  0.5000  0.0000 [8 per cell]

=====

Structure and computed X-ray powder pattern of Zr5P4 (a crystal structure in Alexandria, relaxed with PBE; Cu Kα (λ = 1.5418 Å)).
No peak broadening, texture or thermal motion is included.

Top 12 peaks for 2θ from 10° to 80°, in order of rising 2θ:
d (Å)  two_theta  I_rel  h k l
3.274  27.24  37  1 1 1
2.630  34.08  15  1 0 2
2.621  34.21  20  2 1 0
2.381  37.79  64  2 1 1
2.318  38.85  100  1 1 2
2.312  38.96  65  3 0 0
1.637  56.19  25  2 2 2
1.536  60.26  15  2 1 3
1.532  60.41  14  3 2 1
1.480  62.77  16  4 0 2
1.336  70.50  13  4 1 2
1.211  79.09  16  3 0 4

a b c (Å): 8.0086 8.0086 5.6856
angles (deg): 90.00 90.00 120.00
Space group P6_3/mcm (No. 193)
Unique sites:
Zr  0.0000  0.2675  0.2500 [6 per cell]
Zr  0.3333  0.6667  0.0000 [4 per cell]
P  0.0000  0.0000  0.0000 [2 per cell]
P  0.0000  0.3966  0.7500 [6 per cell]

=====

Structure and computed X-ray powder pattern of TbCeErTm3 (a crystal structure in Alexandria, relaxed with PBE; Cu Kα (λ = 1.5418 Å)).
No peak broadening, texture or thermal motion is included.

Top 11 peaks for 2θ from 10° to 80°, in order of rising 2θ:
d (Å)  two_theta  I_rel  h k l
2.865  31.22  100  1 3 2
2.484  36.17  34  2 0 0
2.477  36.27  17  0 6 0
1.756  52.10  24  2 6 0
1.753  52.18  12  0 6 4
1.499  61.92  14  3 3 2
1.495  62.07  28  1 3 6
1.433  65.11  12  2 6 4
1.243  76.65  2  4 0 0
1.240  76.85  2  0 0 8
1.239  76.99  2  0 12 0

a b c (Å): 4.9728 14.8624 9.9231
angles (deg): 90.00 90.00 90.00
Space group Cmcm (No. 63)
Unique sites:
Tb  0.0000  0.0000  0.0000 [4 per cell]
Ce  0.0000  0.4998  0.2500 [4 per cell]
Er  0.0000  0.1676  0.2500 [4 per cell]
Tm  0.0000  0.1675  0.7500 [4 per cell]
Tm  0.0000  0.3345  0.9999 [8 per cell]

=====

Structure and computed X-ray powder pattern of La5Pm2Nd (a crystal structure in Alexandria, relaxed with PBE; Cu Kα (λ = 1.5418 Å)).
No peak broadening, texture or thermal motion is included.

Top 12 peaks for 2θ from 10° to 80°, in order of rising 2θ:
d (Å)  two_theta  I_rel  h k l
3.033  29.45  100  2 0 2
2.631  34.08  34  2 2 0
2.618  34.25  17  0 0 4
1.860  48.97  12  4 0 0
1.856  49.10  24  2 2 4
1.586  58.18  29  4 2 2
1.580  58.41  14  2 0 6
1.516  61.12  13  4 0 4
1.315  71.76  4  4 4 0
1.309  72.17  2  0 0 8
1.207  79.41  6  6 0 2
1.204  79.61  12  4 2 6

a b c (Å): 7.4406 7.4406 10.4717
angles (deg): 90.00 90.00 90.00
Space group I4/mmm (No. 139)
Unique sites:
La  0.0000  0.0000  0.0000 [2 per cell]
La  0.2500  0.2500  0.2500 [8 per cell]
Pm  0.0000  0.5000  0.0000 [4 per cell]
Nd  0.0000  0.0000  0.5000 [2 per cell]